(1)
For KEuBiSbO6, a crystal structure in the Materials Project, relaxed with PBE gives the simulated powder XRD pattern in this record (copper Kα).
Kinematic intensities with the Lorentz-polarization factor, no thermal factor.

Atomic structure:
Cell lengths 8.4417, 8.4417, 8.4417 Å; angles 90.00, 90.00, 90.00 degrees
Space group F-43m (No. 216)
One atom of each set of equivalent atoms:
K 0.0000 0.0000 0.0000 [4 per cell]
Eu 0.0000 0.0000 0.5000 [4 per cell]
Bi 0.2500 0.2500 0.7500 [4 per cell]
Sb 0.2500 0.2500 0.2500 [4 per cell]
O 0.0131 0.2500 0.2500 [24 per cell]

Top 10 peaks for 2θ from 10° to 80°, low angle first:
d (Å)	I/Imax	index
4.874	16	1 1 1
4.221	14	2 0 0
2.985	100	2 2 0
2.545	11	3 1 1
2.110	30	4 0 0
1.888	6	4 2 0
1.723	41	4 2 2
1.492	19	4 4 0
1.335	18	6 2 0
1.218	6	4 4 4



(2)
For KEuSnBiO6, a crystal structure in the Materials Project, relaxed with PBE gives the simulated powder XRD pattern in this record (copper Kα).
Kinematic intensities with the Lorentz-polarization factor, no thermal factor.

Atomic structure:
Cell lengths 8.4349, 8.4349, 8.4349 Å; angles 90.00, 90.00, 90.00 degrees
Space group F-43m (No. 216)
One atom of each set of equivalent atoms:
K 0.0000 0.0000 0.0000 [4 per cell]
Eu 0.0000 0.0000 0.5000 [4 per cell]
Sn 0.2500 0.2500 0.7500 [4 per cell]
Bi 0.2500 0.2500 0.2500 [4 per cell]
O 0.0040 0.2500 0.7500 [24 per cell]

Top 10 peaks for 2θ from 10° to 80°, low angle first:
d (Å)	I/Imax	index
4.870	17	1 1 1
4.217	14	2 0 0
2.982	100	2 2 0
2.543	11	3 1 1
2.109	30	4 0 0
1.886	7	4 2 0
1.722	42	4 2 2
1.491	19	4 4 0
1.334	18	6 2 0
1.217	6	4 4 4